Calculated powder diffractogram
Compound: LiBi2Pd
Radiation: Cu Kα X-rays
Structure: a PBE-relaxed structure
No peak broadening, texture or thermal motion is included.

Most intense lines, 15 to 90 degrees two-theta, by intensity:
- 28.23°, I 100.0
- 40.54°, I 42.0
- 40.17°, I 34.2
- 50.14°, I 21.3
- 66.37°, I 18.8
- 55.29°, I 17.1
- 16.04°, I 16.2
- 73.50°, I 11.9
- 58.39°, I 11.6
- 52.83°, I 10.9

a b c (Å): 4.4500 4.4500 5.5246
angles (deg): 90.00 90.00 120.00
Fractional coordinates of all 4 atoms:
Li1 0.0000 0.0000 0.0000
Bi1 0.3333 0.6667 0.7207
Bi2 0.6667 0.3333 0.2793
Pd1 0.0000 0.0000 0.5000